No. 1
# Sr2Zn3Au6
Simulated XRD peak list, Cu Kα. Input: a structure optimized by DFT (PBE).
Lines closer than 0.1° are merged.

Cell and atoms:
```
Sr2Zn3Au6
1.0
4.283 2.473 7.405
-4.283 2.473 7.405
0.000 -4.946 7.405
Sr Zn Au
4 6 12
Cartesian
0.000 0.000 2.053
0.000 0.000 9.055
0.000 0.000 13.160
0.000 0.000 20.162
-0.825 -1.430 5.554
-0.825 1.430 5.554
1.651 0.000 5.554
-1.651 0.000 16.661
0.825 -1.430 16.661
0.825 1.430 16.661
-2.638 0.177 7.037
-1.645 -2.296 10.739
-2.811 0.277 11.475
1.166 -2.373 7.037
-1.472 -2.196 15.178
1.166 -2.573 11.475
-1.166 2.573 10.739
1.472 2.196 7.037
-1.166 2.373 15.178
2.811 -0.277 10.739
1.645 2.296 11.475
2.638 -0.177 15.178
```

Peak list (12 most intense, 2θ = 10–80°, in order of falling intensity)
2theta, d/Å, intensity
36.33, 2.473, 1000
42.25, 2.139, 837
31.95, 2.801, 811
44.03, 2.057, 631
20.74, 4.283, 457
24.02, 3.705, 424
66.85, 1.400, 325
62.64, 1.483, 291
37.94, 2.371, 275
49.17, 1.853, 190
78.53, 1.218, 179
44.21, 2.049, 172

---

No. 2
# Pr2Sc3Si4
Simulated XRD peak list, Cu Kα. Input: a structure optimized by DFT (PBE).
Lines closer than 0.1° are merged.

Cell and atoms:
```
Pr2Sc3Si4
1.0
7.251 0.000 0.000
0.000 14.256 0.000
0.000 0.000 7.550
Pr Sc Si
8 12 16
Cartesian
0.087 1.391 1.302
0.087 5.737 1.302
3.538 8.520 5.077
3.538 12.865 5.077
3.713 1.391 2.473
3.713 5.737 2.473
7.164 8.520 6.249
7.164 12.865 6.249
1.173 10.692 3.777
1.240 1.784 5.102
1.240 5.344 5.102
2.386 8.912 1.326
2.386 12.473 1.326
2.452 3.564 0.001
4.799 10.692 7.549
4.865 1.784 6.224
4.865 5.344 6.224
6.011 8.912 2.449
6.011 12.473 2.449
6.078 3.564 3.774
0.254 10.692 0.941
1.098 7.694 3.496
1.098 13.691 3.496
1.543 3.564 2.888
2.082 10.692 6.664
2.528 0.565 7.271
2.528 6.563 7.271
3.372 3.564 4.716
3.879 10.692 2.834
4.723 7.694 0.279
4.723 13.691 0.279
5.169 3.564 0.887
5.708 10.692 4.662
6.153 0.565 4.054
6.153 6.563 4.054
6.997 3.564 6.609
```

Peak list (12 most intense, 2θ = 10–80°, in order of falling intensity)
2theta, d/Å, intensity
33.27, 2.693, 1000
32.72, 2.737, 958
37.85, 2.377, 555
22.10, 4.022, 452
28.01, 3.186, 317
34.61, 2.592, 299
13.27, 6.672, 295
39.13, 2.302, 294
27.36, 3.260, 285
55.60, 1.653, 241
58.98, 1.566, 226
24.55, 3.626, 208

---

No. 3
# MgZn2Co4S8
Simulated XRD peak list, Cu Kα. Input: a structure optimized by DFT (PBE).
Lines closer than 0.1° are merged.

Cell and atoms:
```
MgZn2Co4S8
1.0
5.968 -3.561 0.000
5.968 3.561 0.000
-5.572 0.000 5.956
Mg Zn Co S
1 2 4 8
Cartesian
0.000 0.000 0.000
3.796 0.000 0.099
5.991 0.000 2.159
3.240 1.826 2.893
0.685 0.000 3.764
2.540 0.000 5.497
3.240 -1.826 2.893
-1.546 0.000 3.800
4.810 1.762 1.220
1.709 1.744 4.526
2.062 0.000 1.912
4.295 0.000 4.004
1.709 -1.744 4.526
4.810 -1.762 1.220
8.225 0.000 1.770
```

Peak list (12 most intense, 2θ = 10–80°, in order of falling intensity)
2theta, d/Å, intensity
32.47, 2.758, 1000
52.80, 1.734, 735
34.56, 2.595, 524
27.20, 3.279, 446
33.30, 2.690, 427
16.07, 5.515, 408
14.88, 5.956, 404
51.31, 1.780, 328
49.01, 1.859, 314
44.43, 2.039, 270
35.34, 2.540, 231
40.16, 2.246, 227

---

No. 4
# MnBe2Ir
Simulated XRD peak list, Cu Kα. Input: a structure optimized by DFT (PBE).
Lines closer than 0.1° are merged.

Cell and atoms:
```
MnBe2Ir
1.0
0.000 2.776 2.776
2.776 0.000 2.776
2.776 2.776 0.000
Mn Be Ir
1 2 1
Cartesian
0.000 0.000 0.000
1.388 1.388 1.388
4.164 4.164 4.164
2.776 2.776 2.776
```

Peak list (8 most intense, 2θ = 10–80°, in order of falling intensity)
2theta, d/Å, intensity
32.25, 2.776, 1000
46.25, 1.963, 892
27.83, 3.205, 619
76.78, 1.241, 324
54.85, 1.674, 310
57.51, 1.603, 256
67.48, 1.388, 143
74.50, 1.274, 131

---

No. 5
# Mg7Si4
Simulated XRD peak list, Cu Kα. Input: a structure optimized by DFT (PBE).
Lines closer than 0.1° are merged.

Cell and atoms:
```
Mg7Si4
1.0
8.513 0.000 0.000
0.000 3.550 0.000
-0.585 0.000 14.817
Mg Si
14 8
Cartesian
0.000 0.000 0.000
-0.122 1.775 5.217
0.203 0.000 7.878
1.029 0.000 2.970
2.447 1.775 0.949
2.739 1.775 7.965
2.730 0.000 13.446
3.438 1.775 11.061
4.568 0.000 2.339
5.033 0.000 9.236
4.996 1.775 14.633
6.296 1.775 7.232
7.118 1.775 2.446
7.424 1.775 10.147
0.828 1.775 12.235
1.244 0.000 10.627
2.099 0.000 5.686
2.852 1.775 4.088
4.505 0.000 6.144
5.311 1.775 4.631
5.516 0.000 12.126
6.967 1.775 12.808
```

Peak list (12 most intense, 2θ = 10–80°, in order of falling intensity)
2theta, d/Å, intensity
36.90, 2.436, 1000
34.79, 2.579, 707
37.52, 2.397, 454
51.49, 1.775, 391
37.19, 2.418, 384
41.01, 2.201, 325
11.95, 7.408, 299
32.86, 2.725, 299
36.28, 2.476, 244
33.28, 2.692, 216
40.84, 2.210, 194
35.01, 2.563, 182

---

No. 6
# Zr10Al6O
Simulated XRD peak list, Cu Kα. Input: a structure optimized by DFT (PBE).
Lines closer than 0.1° are merged.

Cell and atoms:
```
Zr10Al6O
1.0
14.272 0.000 0.000
-7.136 12.360 0.000
0.000 0.000 5.646
Zr Al O
30 18 3
Cartesian
-2.207 4.019 0.000
-4.759 8.440 0.000
0.000 1.910 1.320
-5.482 11.405 1.320
1.669 0.964 4.219
-1.682 7.269 1.501
0.000 6.330 4.284
-1.654 9.195 4.284
2.207 4.019 0.000
-2.552 12.262 0.000
4.947 0.073 2.822
2.537 4.248 2.822
1.682 7.269 1.501
0.000 10.182 1.501
1.654 9.195 4.284
5.465 3.155 1.417
7.136 2.202 4.151
5.475 5.079 4.151
9.325 0.073 2.822
4.725 8.039 2.822
4.759 8.440 0.000
2.552 12.262 0.000
8.807 3.155 1.417
7.136 6.050 1.417
8.797 5.079 4.151
5.482 11.405 1.320
12.603 0.964 4.219
7.136 10.433 4.219
11.735 4.248 2.822
9.546 8.039 2.822
-2.837 6.602 4.469
0.000 3.289 3.968
-4.287 10.715 3.968
0.000 4.960 1.592
-2.840 9.880 1.592
2.848 1.644 1.459
4.292 2.478 4.282
2.837 6.602 4.469
0.000 11.515 4.469
7.136 0.839 1.147
4.295 5.760 1.147
2.840 9.880 1.592
4.287 10.715 3.968
9.979 2.478 4.282
7.136 7.403 4.282
11.424 1.644 1.459
7.136 9.071 1.459
9.977 5.760 1.147
0.000 0.000 5.591
0.000 8.240 2.899
7.136 4.120 2.767
```

Peak list (12 most intense, 2θ = 10–80°, in order of falling intensity)
2theta, d/Å, intensity
36.94, 2.434, 1000
38.66, 2.329, 687
33.22, 2.697, 463
34.16, 2.625, 370
37.82, 2.379, 293
26.79, 3.328, 254
59.93, 1.543, 214
55.20, 1.664, 214
24.96, 3.568, 210
61.49, 1.508, 202
59.35, 1.557, 182
21.57, 4.120, 128

---

Number 2 is which compound? Pr2Sc3Si4